(1)
Theoretical X-ray diffraction stick pattern
Compound: CaH2C2O5
Radiation: Cu Kα X-rays
Structure: a GGA-PBE-relaxed structure
Intensities are scaled so that the largest is 100.

Crystal structure
```
CaH2C2O5
1.0
5.135 -3.693 0.000
5.135 3.693 0.000
-1.881 0.000 6.155
Ca H C O
2 4 4 10
direct
0.189 0.189 0.001
0.811 0.811 0.999
0.311 0.276 0.472
0.531 0.139 0.379
0.724 0.689 0.528
0.861 0.469 0.621
0.044 0.082 0.458
0.394 0.606 0.000
0.606 0.394 0.000
0.918 0.956 0.542
0.040 0.047 0.256
0.136 0.218 0.603
0.206 0.574 0.001
0.400 0.272 0.362
0.426 0.794 0.999
0.570 0.202 0.975
0.728 0.600 0.638
0.782 0.864 0.397
0.798 0.430 0.025
0.953 0.960 0.744
```

Peak list (8 most intense, 2θ = 5–70°, sorted by position)
2θ/deg  intensity
14.39  100
15.01  43
24.10  74
29.01  51
35.83  34
36.73  26
37.66  37
44.14  21


(2)
Theoretical X-ray diffraction stick pattern
Compound: NpCu2As2
Radiation: Cu Kα X-rays
Structure: a GGA-PBE-relaxed structure
Intensities are scaled so that the largest is 100.

Crystal structure
```
NpCu2As2
1.0
1.942 -11.477 0.000
1.942 11.477 0.000
0.000 0.000 3.890
Np Cu As
2 4 4
direct
0.150 0.850 0.750
0.850 0.150 0.250
0.037 0.963 0.250
0.463 0.537 0.250
0.537 0.463 0.750
0.963 0.037 0.750
0.250 0.750 0.250
0.392 0.608 0.750
0.608 0.392 0.250
0.750 0.250 0.750
```

Peak list (8 most intense, 2θ = 5–70°, sorted by position)
2θ/deg  intensity
24.16  16
25.72  23
27.71  16
32.82  13
35.84  14
38.16  100
39.01  18
46.74  37


(3)
Theoretical X-ray diffraction stick pattern
Compound: CeSmGePd
Radiation: Cu Kα X-rays
Structure: a GGA-PBE-relaxed structure
Intensities are scaled so that the largest is 100.

Crystal structure
```
CeSmGePd
1.0
0.000 3.627 3.627
3.627 0.000 3.627
3.627 3.627 0.000
Ce Sm Ge Pd
1 1 1 1
direct
0.000 0.000 0.000
0.500 0.500 0.500
0.250 0.250 0.250
0.750 0.750 0.750
```

Peak list (8 most intense, 2θ = 5–70°, sorted by position)
2θ/deg  intensity
21.21  1
24.54  6
34.99  100
41.28  1
43.20  2
50.31  18
56.75  3
62.75  36


(4)
Theoretical X-ray diffraction stick pattern
Compound: Tm10Tl3Te3
Radiation: Cu Kα X-rays
Structure: a GGA-PBE-relaxed structure
Intensities are scaled so that the largest is 100.

Crystal structure
```
Tm10Tl3Te3
1.0
8.882 0.000 0.000
-4.441 7.692 0.000
0.000 0.000 6.342
Tm Tl Te
10 3 3
direct
0.000 0.242 0.000
0.000 0.764 0.500
0.236 0.236 0.500
0.242 0.000 0.000
0.333 0.667 0.251
0.333 0.667 0.749
0.667 0.333 0.251
0.667 0.333 0.749
0.758 0.758 0.000
0.764 0.000 0.500
0.000 0.392 0.500
0.392 0.000 0.500
0.608 0.608 0.500
0.000 0.612 0.000
0.388 0.388 0.000
0.612 0.000 0.000
```

Peak list (8 most intense, 2θ = 5–70°, sorted by position)
2θ/deg  intensity
28.14  19
30.75  30
33.92  100
34.76  76
35.00  42
50.16  20
53.60  27
67.69  19